Entry 1:
Calculated powder XRD pattern of Ni3Hg for CuKα, from a GGA-PBE-relaxed structure.
Peak positions follow from Bragg's law for the DFT cell and can differ from measured ones.

Cell and atoms:
Cell lengths 3.745, 3.745, 3.745 Å; angles 90.00, 90.00, 90.00 degrees
Fractional positions:
Ni: 0.000 0.000 0.500
Ni: 0.000 0.500 0.000
Ni: 0.500 0.000 0.000
Hg: 0.500 0.500 0.500

Principal peaks in the range 2θ from 5° to 70°, in order of rising 2θ:
2θ (°)  d (Å)  I (rel.)
23.76  3.745  37
33.85  2.648  31
41.78  2.162  100
48.63  1.872  48
54.81  1.675  17
60.56  1.529  13

Entry 2:
Calculated powder XRD pattern of MnSb2Se4 for CuKα, from a GGA-PBE-relaxed structure.
Peak positions follow from Bragg's law for the DFT cell and can differ from measured ones.

Cell and atoms:
Cell lengths 6.951, 6.951, 15.652 Å; angles 113.46, 113.46, 33.58 degrees
Fractional positions:
Mn: 0.000 0.000 0.000
Mn: 0.000 0.000 0.500
Sb: 0.231 0.231 0.876
Sb: 0.355 0.355 0.630
Sb: 0.645 0.645 0.370
Sb: 0.769 0.769 0.124
Se: 0.011 0.011 0.671
Se: 0.163 0.163 0.174
Se: 0.343 0.343 0.458
Se: 0.395 0.395 0.049
Se: 0.605 0.605 0.951
Se: 0.657 0.657 0.542
Se: 0.837 0.837 0.826
Se: 0.989 0.989 0.329

Principal peaks in the range 2θ from 5° to 70°, in order of rising 2θ:
2θ (°)  d (Å)  I (rel.)
25.01  3.561  29
28.32  3.152  29
28.57  3.125  26
30.20  2.959  100
31.43  2.846  32
31.56  2.835  73
33.88  2.646  39
45.16  2.008  39
46.81  1.941  31
47.86  1.900  26

Entry 3:
Calculated powder XRD pattern of SbH5O4F6 for CuKα, from a GGA-PBE-relaxed structure.
Peak positions follow from Bragg's law for the DFT cell and can differ from measured ones.

Cell and atoms:
Cell lengths 6.794, 8.000, 8.339 Å; angles 111.17, 95.33, 113.98 degrees
Fractional positions:
Sb: 0.000 0.000 0.000
Sb: 0.472 0.203 0.592
H: 0.102 0.418 0.878
H: 0.146 0.446 0.431
H: 0.252 0.608 0.788
H: 0.331 0.758 0.151
H: 0.380 0.794 0.698
H: 0.598 0.493 0.051
H: 0.641 0.213 0.066
H: 0.730 0.597 0.296
H: 0.832 0.989 0.519
H: 0.862 0.707 0.543
O: 0.119 0.549 0.522
O: 0.172 0.566 0.906
O: 0.319 0.647 0.671
O: 0.360 0.655 0.063
O: 0.614 0.455 0.152
O: 0.715 0.847 0.478
O: 0.754 0.357 0.109
O: 0.849 0.741 0.439
F: 0.082 0.185 0.891
F: 0.086 0.229 0.226
F: 0.176 0.176 0.554
F: 0.295 0.025 0.039
F: 0.384 0.972 0.367
F: 0.392 0.019 0.704
F: 0.552 0.428 0.821
F: 0.559 0.382 0.482
F: 0.701 0.968 0.951
F: 0.771 0.236 0.641
F: 0.911 0.820 0.110
F: 0.918 0.775 0.770

Principal peaks in the range 2θ from 5° to 70°, in order of rising 2θ:
2θ (°)  d (Å)  I (rel.)
13.48  6.567  74
14.59  6.071  51
16.22  5.465  46
17.71  5.009  35
21.59  4.116  100
22.31  3.984  58
23.90  3.724  63
26.36  3.381  31
27.93  3.194  29
41.28  2.187  26

Entry 4:
Calculated powder XRD pattern of Ho3Al12Os4 for CuKα, from a GGA-PBE-relaxed structure.
Peak positions follow from Bragg's law for the DFT cell and can differ from measured ones.

Cell and atoms:
Cell lengths 8.834, 8.834, 9.566 Å; angles 90.00, 90.00, 120.00 degrees
Fractional positions:
Ho: 0.193 0.387 0.250
Ho: 0.193 0.807 0.250
Ho: 0.387 0.193 0.750
Ho: 0.613 0.807 0.250
Ho: 0.807 0.193 0.750
Ho: 0.807 0.613 0.750
Al: 0.000 0.000 0.250
Al: 0.000 0.000 0.750
Al: 0.120 0.560 0.750
Al: 0.163 0.325 0.576
Al: 0.163 0.325 0.924
Al: 0.163 0.837 0.576
Al: 0.163 0.837 0.924
Al: 0.325 0.163 0.076
Al: 0.325 0.163 0.424
Al: 0.333 0.667 0.016
Al: 0.333 0.667 0.484
Al: 0.440 0.560 0.750
Al: 0.440 0.880 0.750
Al: 0.560 0.120 0.250
Al: 0.560 0.440 0.250
Al: 0.667 0.333 0.516
Al: 0.667 0.333 0.984
Al: 0.675 0.837 0.576
Al: 0.675 0.837 0.924
Al: 0.837 0.163 0.076
Al: 0.837 0.163 0.424
Al: 0.837 0.675 0.076
Al: 0.837 0.675 0.424
Al: 0.880 0.440 0.250
Os: 0.000 0.000 0.000
Os: 0.000 0.000 0.500
Os: 0.000 0.500 0.000
Os: 0.000 0.500 0.500
Os: 0.500 0.000 0.000
Os: 0.500 0.000 0.500
Os: 0.500 0.500 0.000
Os: 0.500 0.500 0.500

Principal peaks in the range 2θ from 5° to 70°, in order of rising 2θ:
2θ (°)  d (Å)  I (rel.)
23.25  3.825  32
25.07  3.552  23
29.91  2.987  100
36.69  2.449  25
37.61  2.391  24
40.86  2.208  55
44.69  2.028  18
51.46  1.776  20
56.74  1.622  30
67.71  1.384  19

Entry 5:
Calculated powder XRD pattern of Tm3AlNi8 for CuKα, from a GGA-PBE-relaxed structure.
Peak positions follow from Bragg's law for the DFT cell and can differ from measured ones.

Cell and atoms:
Cell lengths 5.024, 5.024, 15.918 Å; angles 90.00, 90.00, 120.00 degrees
Fractional positions:
Tm: 0.333 0.667 0.044
Tm: 0.333 0.667 0.250
Tm: 0.333 0.667 0.456
Tm: 0.667 0.333 0.544
Tm: 0.667 0.333 0.750
Tm: 0.667 0.333 0.956
Al: 0.000 0.000 0.000
Al: 0.000 0.000 0.500
Ni: 0.000 0.000 0.250
Ni: 0.000 0.000 0.750
Ni: 0.169 0.338 0.625
Ni: 0.169 0.338 0.875
Ni: 0.169 0.831 0.625
Ni: 0.169 0.831 0.875
Ni: 0.333 0.667 0.750
Ni: 0.338 0.169 0.125
Ni: 0.338 0.169 0.375
Ni: 0.662 0.831 0.625
Ni: 0.662 0.831 0.875
Ni: 0.667 0.333 0.250
Ni: 0.831 0.169 0.125
Ni: 0.831 0.169 0.375
Ni: 0.831 0.662 0.125
Ni: 0.831 0.662 0.375

Principal peaks in the range 2θ from 5° to 70°, in order of rising 2θ:
2θ (°)  d (Å)  I (rel.)
34.92  2.569  100
35.74  2.512  63
41.51  2.176  22
41.91  2.156  48
42.56  2.124  100
45.02  2.014  47
63.69  1.461  34
68.35  1.372  18
68.90  1.363  23
69.97  1.345  21

Entry 6:
Calculated powder XRD pattern of V2H for CuKα, from a GGA-PBE-relaxed structure.
Peak positions follow from Bragg's law for the DFT cell and can differ from measured ones.

Cell and atoms:
Cell lengths 5.341, 5.341, 5.341 Å; angles 112.96, 112.96, 102.71 degrees
Fractional positions:
V: 0.231 0.232 0.502
V: 0.231 0.729 0.998
V: 0.232 0.231 0.002
V: 0.271 0.769 0.502
V: 0.729 0.231 0.498
V: 0.768 0.769 0.998
V: 0.769 0.271 0.002
V: 0.769 0.768 0.498
H: 0.000 0.500 0.500
H: 0.500 0.000 0.000
H: 0.500 0.500 0.000
H: 0.500 0.500 0.500

Principal peaks in the range 2θ from 5° to 70°, in order of rising 2θ:
2θ (°)  d (Å)  I (rel.)
20.09  4.420  2
36.63  2.454  1
40.84  2.210  100
43.38  2.086  46
43.49  2.081  3
53.92  1.700  3
55.06  1.668  8
63.03  1.475  14

Entry 7:
Calculated powder XRD pattern of VTe2 for CuKα, from a GGA-PBE-relaxed structure.
Peak positions follow from Bragg's law for the DFT cell and can differ from measured ones.

Cell and atoms:
Cell lengths 3.656, 3.656, 6.954 Å; angles 90.00, 90.00, 120.00 degrees
Fractional positions:
V: 0.000 0.000 0.000
Te: 0.333 0.667 0.246
Te: 0.667 0.333 0.754

Principal peaks in the range 2θ from 5° to 70°, in order of rising 2θ:
2θ (°)  d (Å)  I (rel.)
12.73  6.954  10
25.62  3.477  22
28.19  3.166  7
31.04  2.881  100
38.46  2.341  35
48.69  1.870  29
49.89  1.828  24
56.91  1.618  15
59.93  1.544  15
64.70  1.441  7

Entry 8:
Calculated powder XRD pattern of ErAl6Cr6 for CuKα, from a GGA-PBE-relaxed structure.
Peak positions follow from Bragg's law for the DFT cell and can differ from measured ones.

Cell and atoms:
Cell lengths 6.670, 6.670, 6.670 Å; angles 135.38, 99.09, 97.48 degrees
Fractional positions:
Er: 0.000 0.000 0.000
Al: 0.193 0.500 0.693
Al: 0.329 0.329 0.000
Al: 0.346 0.000 0.346
Al: 0.654 0.000 0.654
Al: 0.671 0.671 0.000
Al: 0.807 0.500 0.307
Cr: 0.000 0.000 0.500
Cr: 0.000 0.500 0.000
Cr: 0.240 0.740 0.500
Cr: 0.500 0.000 0.000
Cr: 0.500 0.500 0.500
Cr: 0.760 0.260 0.500

Principal peaks in the range 2θ from 5° to 70°, in order of rising 2θ:
2θ (°)  d (Å)  I (rel.)
14.36  6.170  64
20.23  4.391  36
28.79  3.100  55
28.96  3.083  58
35.39  2.536  34
41.04  2.199  45
41.14  2.194  34
41.29  2.187  100
41.46  2.178  63
59.64  1.550  37

Entry 9:
Calculated powder XRD pattern of KICl2O for CuKα, from a GGA-PBE-relaxed structure.
Peak positions follow from Bragg's law for the DFT cell and can differ from measured ones.

Cell and atoms:
Cell lengths 4.899, 7.611, 8.360 Å; angles 90.00, 101.73, 90.00 degrees
Fractional positions:
K: 0.209 0.250 0.100
K: 0.791 0.750 0.900
I: 0.000 0.000 0.500
I: 0.000 0.500 0.500
Cl: 0.262 0.503 0.807
Cl: 0.262 0.997 0.807
Cl: 0.738 0.003 0.193
Cl: 0.738 0.497 0.193
O: 0.160 0.750 0.468
O: 0.840 0.250 0.532

Principal peaks in the range 2θ from 5° to 70°, in order of rising 2θ:
2θ (°)  d (Å)  I (rel.)
10.81  8.186  77
18.50  4.797  70
19.45  4.563  95
23.36  3.808  55
25.82  3.451  42
30.59  2.922  100
32.82  2.729  39
39.56  2.278  55
40.69  2.218  26
41.29  2.187  37

Entry 10:
Calculated powder XRD pattern of Rb2HgSbF6 for CuKα, from a GGA-PBE-relaxed structure.
Peak positions follow from Bragg's law for the DFT cell and can differ from measured ones.

Cell and atoms:
Cell lengths 6.910, 6.910, 6.910 Å; angles 60.00, 60.00, 60.00 degrees
Fractional positions:
Rb: 0.250 0.250 0.250
Rb: 0.750 0.750 0.750
Hg: 0.000 0.000 0.000
Sb: 0.500 0.500 0.500
F: 0.285 0.285 0.715
F: 0.285 0.715 0.285
F: 0.285 0.715 0.715
F: 0.715 0.285 0.285
F: 0.715 0.285 0.715
F: 0.715 0.715 0.285

Principal peaks in the range 2θ from 5° to 70°, in order of rising 2θ:
2θ (°)  d (Å)  I (rel.)
18.16  4.886  20
25.79  3.455  100
30.34  2.946  5
36.79  2.443  33
40.23  2.242  4
41.32  2.185  9
45.47  1.995  41
53.01  1.728  21
59.86  1.545  22
66.26  1.411  7